No. 1
For NdVO3, a crystal structure in the Materials Project, relaxed with GGA+U gives the theoretical XRD peak list in this record (Cu Kα, 1.54184 Å).

Lattice parameters (Å, degrees): 3.923 3.923 3.923 90.00 90.00 90.00
Positions (direct):
Nd  0.000  0.000  0.000
V  0.500  0.500  0.500
O  0.000  0.500  0.500
O  0.500  0.000  0.500
O  0.500  0.500  0.000

Largest 10 diffraction maxima, sorted by position, 15° ≤ 2θ ≤ 90°:
| 2theta | d (Å) | I_rel | index |
| --- | --- | --- | --- |
| 22.66 | 3.923 | 21 | 1 0 0 |
| 32.27 | 2.774 | 100 | 1 1 0 |
| 39.79 | 2.265 | 24 | 1 1 1 |
| 46.28 | 1.962 | 33 | 2 0 0 |
| 52.13 | 1.755 | 11 | 2 1 0 |
| 57.54 | 1.602 | 38 | 2 1 1 |
| 67.53 | 1.387 | 19 | 2 2 0 |
| 76.83 | 1.241 | 16 | 3 1 0 |
| 81.34 | 1.183 | 8 | 3 1 1 |
| 85.79 | 1.133 | 6 | 2 2 2 |

No. 2
For Li9Mn2Co5O16, a crystal structure in the Materials Project, relaxed with GGA+U gives the theoretical XRD peak list in this record (Cu Kα, 1.54184 Å).

Lattice parameters (Å, degrees): 5.778 5.833 9.749 97.34 91.33 118.47
Positions (direct):
Li  0.000  0.000  0.000
Li  0.115  0.237  0.752
Li  0.123  0.753  0.752
Li  0.367  0.240  0.246
Li  0.382  0.751  0.245
Li  0.618  0.249  0.755
Li  0.633  0.760  0.754
Li  0.877  0.247  0.248
Li  0.885  0.763  0.248
Mn  0.000  0.500  0.000
Mn  0.500  0.500  0.000
Co  0.250  0.500  0.500
Co  0.251  0.000  0.500
Co  0.500  0.000  0.000
Co  0.749  0.000  0.500
Co  0.750  0.500  0.500
O  0.070  0.125  0.382
O  0.074  0.628  0.385
O  0.196  0.856  0.105
O  0.200  0.389  0.112
O  0.291  0.593  0.882
O  0.336  0.145  0.893
O  0.426  0.371  0.614
O  0.429  0.873  0.617
O  0.571  0.127  0.383
O  0.574  0.629  0.386
O  0.664  0.855  0.107
O  0.709  0.407  0.118
O  0.800  0.611  0.888
O  0.804  0.144  0.895
O  0.926  0.372  0.615
O  0.930  0.875  0.618

Largest 10 diffraction maxima, sorted by position, 15° ≤ 2θ ≤ 90°:
| 2theta | d (Å) | I_rel | index |
| --- | --- | --- | --- |
| 18.44 | 4.812 | 100 | 0 0 2 |
| 35.46 | 2.531 | 15 | 0 2 0 |
| 35.85 | 2.505 | 14 | 2 0 -1 |
| 36.74 | 2.446 | 12 | 2 -2 1 |
| 37.41 | 2.404 | 8 | 0 0 4 |
| 42.91 | 2.107 | 29 | 0 2 2 |
| 43.39 | 2.086 | 28 | 2 0 -3 |
| 44.71 | 2.027 | 26 | 2 -2 3 |
| 47.89 | 1.899 | 9 | 2 0 3 |
| 62.56 | 1.485 | 8 | 2 2 -1 |

No. 3
For Li6Ni3SbP6O24, a crystal structure in the Materials Project, relaxed with GGA+U gives the theoretical XRD peak list in this record (Cu Kα, 1.54184 Å).

Lattice parameters (Å, degrees): 8.653 8.715 8.723 60.74 60.64 60.86
Positions (direct):
Li  0.000  0.000  0.000
Li  0.097  0.847  0.511
Li  0.197  0.330  0.472
Li  0.385  0.709  0.168
Li  0.662  0.536  0.799
Li  0.830  0.185  0.644
Ni  0.001  0.338  0.810
Ni  0.498  0.836  0.303
Ni  0.711  0.045  0.513
Sb  0.210  0.540  0.014
P  0.102  0.137  0.206
P  0.309  0.932  0.696
P  0.405  0.435  0.607
P  0.602  0.229  0.117
P  0.803  0.736  0.907
P  0.901  0.650  0.409
O  0.046  0.171  0.049
O  0.108  0.582  0.259
O  0.136  0.111  0.711
O  0.171  0.297  0.161
O  0.242  0.384  0.641
O  0.251  0.787  0.908
O  0.258  0.947  0.233
O  0.311  0.876  0.555
O  0.362  0.498  0.772
O  0.411  0.605  0.427
O  0.456  0.440  0.057
O  0.494  0.937  0.665
O  0.535  0.082  0.146
O  0.589  0.276  0.601
O  0.616  0.770  0.061
O  0.622  0.212  0.288
O  0.743  0.700  0.348
O  0.776  0.236  0.936
O  0.826  0.910  0.734
O  0.829  0.575  0.861
O  0.904  0.468  0.581
O  0.910  0.808  0.433
O  0.945  0.131  0.395
O  0.966  0.684  0.979

Largest 10 diffraction maxima, sorted by position, 15° ≤ 2θ ≤ 90°:
| 2theta | d (Å) | I_rel | index |
| --- | --- | --- | --- |
| 20.16 | 4.404 | 65 | 0 1 -1 |
| 20.25 | 4.386 | 31 | 1 0 -1 |
| 20.37 | 4.359 | 100 | 1 1 2 |
| 20.53 | 4.326 | 49 | 2 1 1 |
| 23.77 | 3.743 | 72 | 0 1 2 |
| 23.86 | 3.729 | 77 | 1 2 0 |
| 28.83 | 3.097 | 54 | 0 2 2 |
| 32.41 | 2.762 | 36 | 1 2 3 |
| 32.49 | 2.755 | 34 | 2 3 1 |
| 35.40 | 2.536 | 75 | -2 1 1 |